For LaPr7Dy4, DFT lattice parameters and positions (GGA-PBE) gives the simulated XRD peak list in this record (Cu Kα, 1.54184 Å).

Principal peaks in the range 2θ = 15–90°, by intensity:
| 2θ (°) | intensity | h k l |
| --- | --- | --- |
| 31.05 | 100 | 2 0 2 |
| 32.70 | 91 | 1 2 2 |
| 30.33 | 51 | 0 0 3 |
| 59.04 | 46 | 3 -2 4 |
| 49.35 | 40 | 3 2 1 |
| 28.10 | 36 | 1 -2 0 |
| 53.26 | 21 | 2 0 5 |
| 56.46 | 20 | 1 2 5 |
| 84.04 | 20 | 3 -2 7 |
| 28.71 | 18 | 1 -2 1 |

Structure:
```
LaPr7Dy4
1.0
6.3974 0.0000 0.0000
0.0006 7.3853 0.0000
2.1310 0.0032 8.8402
La Pr Dy
1 7 4
direct
0.0000 0.0000 0.0000
0.0000 0.5000 0.0000
0.2234 0.0002 0.3348
0.2803 0.2525 0.6638
0.4997 0.2540 0.0025
0.5003 0.7460 0.9975
0.7197 0.7475 0.3362
0.7766 0.9998 0.6652
0.2182 0.4999 0.3357
0.2773 0.7444 0.6656
0.7227 0.2556 0.3344
0.7818 0.5001 0.6643
```